Diffraction record for InH. The X-ray powder pattern is calculated, not measured: it uses the GGA-PBE geometry in the Materials Project and CuKα.

Structure:
```
data_InH
_symmetry_space_group_name_H-M 'P 1'
_symmetry_Int_Tables_number 1
_symmetry_space_group_name_Hall 'P 1'
_cell_length_a 3.431
_cell_length_b 3.431
_cell_length_c 6.745
_cell_angle_alpha 90.00
_cell_angle_beta 90.00
_cell_angle_gamma 120.00
loop_
_atom_site_label
_atom_site_fract_x
_atom_site_fract_y
_atom_site_fract_z
_atom_site_occupancy
In1 0.333 0.667 0.000 1
In2 0.667 0.333 0.500 1
H1 0.333 0.667 0.688 1
H2 0.667 0.333 0.188 1
```

Most intense lines, 5 to 70 degrees two-theta, sorted by position:
hkl 0 0 2, 26.43°, rel. 39
hkl 1 0 0, 30.08°, rel. 22
hkl 1 0 1, 32.94°, rel. 100
hkl 1 0 2, 40.46°, rel. 19
hkl 1 0 3, 50.94°, rel. 29
hkl 1 1 0, 53.41°, rel. 17
hkl 0 0 4, 54.41°, rel. 5
hkl 1 1 2, 60.56°, rel. 22
hkl 1 0 4, 63.43°, rel. 5
hkl 2 0 1, 64.20°, rel. 14